Entry 1:
Diffraction record for LiHIr3. The powder diffraction line list is theoretical, not measured: it uses a crystal structure in Alexandria, relaxed with PBE and Cu Kα, 1.54184 Å.
Kinematic intensities with the Lorentz-polarization factor, no thermal factor.

Largest 8 diffraction maxima, sorted by position, 2θ from 10° to 90°:
| h k l | 2θ (°) | intensity |
| --- | --- | --- |
| 1 0 0 | 22.9 | 337 |
| 1 1 0 | 32.5 | 269 |
| 1 1 1 | 40.1 | 1000 |
| 2 0 0 | 46.7 | 494 |
| 2 1 0 | 52.6 | 145 |
| 2 2 0 | 68.2 | 323 |
| 3 1 1 | 82.1 | 391 |
| 2 2 2 | 86.7 | 117 |

Structure:
Cell lengths 3.8916, 3.8916, 3.8916 Å; angles 90.00, 90.00, 90.00 degrees
Space group Pm-3m (No. 221)
Unique sites:
Li 0.0000 0.0000 0.0000 x1
H 0.5000 0.5000 0.5000 x1
Ir 0.0000 0.5000 0.5000 x3

***

Entry 2:
Diffraction record for Pm7InSn3. The powder diffraction line list is theoretical, not measured: it uses a crystal structure in Alexandria, relaxed with PBE and Cu Kα, 1.54184 Å.
Kinematic intensities with the Lorentz-polarization factor, no thermal factor.

Largest 8 diffraction maxima, sorted by position, 2θ from 10° to 90°:
| h k l | 2θ (°) | intensity |
| --- | --- | --- |
| 2 0 0 | 29.8 | 609 |
| 0 0 4 | 30.1 | 555 |
| 1 2 3 | 32.9 | 167 |
| 1 3 2 | 35.2 | 1000 |
| 2 0 4 | 42.9 | 424 |
| 3 3 2 | 56.5 | 258 |
| 1 3 6 | 56.8 | 212 |
| 2 6 4 | 74.3 | 168 |

Structure:
Cell lengths 5.9912, 9.6172, 11.8796 Å; angles 90.00, 90.00, 90.00 degrees
Space group Immm (No. 71)
Unique sites:
Pm 0.0000 0.0000 0.0000 x2
Pm 0.0000 0.1699 0.5000 x4
Pm 0.0000 0.3327 0.2356 x8
In 0.0000 0.5000 0.5000 x2
Sn 0.0000 0.0000 0.2635 x4
Sn 0.0000 0.5000 0.0000 x2

***

Entry 3:
Diffraction record for Sr3AsO5. The powder diffraction line list is theoretical, not measured: it uses a crystal structure in Alexandria, relaxed with PBE and Cu Kα, 1.54184 Å.
Kinematic intensities with the Lorentz-polarization factor, no thermal factor.

Largest 8 diffraction maxima, sorted by position, 2θ from 10° to 90°:
| h k l | 2θ (°) | intensity |
| --- | --- | --- |
| 2 1 1 | 29.5 | 254 |
| 2 0 2 | 29.7 | 1000 |
| 0 0 4 | 30.6 | 322 |
| 2 2 0 | 36.3 | 298 |
| 2 1 3 | 36.8 | 490 |
| 2 2 4 | 48.2 | 246 |
| 2 0 6 | 53.8 | 213 |
| 4 1 3 | 59.3 | 129 |

Structure:
Cell lengths 7.0036, 7.0036, 11.6955 Å; angles 90.00, 90.00, 90.00 degrees
Space group I4/mcm (No. 140)
Unique sites:
Sr 0.0000 0.0000 0.2500 x4
Sr 0.1809 0.3191 0.0000 x8
As 0.0000 0.5000 0.2500 x4
O 0.0000 0.0000 0.0000 x4
O 0.1441 0.3559 0.3504 x16

***

Entry 4:
Diffraction record for BaMg6In2. The powder diffraction line list is theoretical, not measured: it uses a crystal structure in Alexandria, relaxed with PBE and Cu Kα, 1.54184 Å.
Kinematic intensities with the Lorentz-polarization factor, no thermal factor.

Largest 8 diffraction maxima, sorted by position, 2θ from 10° to 90°:
| h k l | 2θ (°) | intensity |
| --- | --- | --- |
| 1 0 2 | 25.1 | 509 |
| 1 1 0 | 26.1 | 706 |
| 1 1 1 | 27.4 | 864 |
| 1 1 2 | 31.3 | 419 |
| 1 0 3 | 31.7 | 1000 |
| 2 0 0 | 37.2 | 760 |
| 1 0 4 | 39.3 | 574 |
| 2 1 3 | 49.7 | 556 |

Structure:
Cell lengths 4.8365, 4.8365, 10.4174 Å; angles 90.00, 90.00, 90.00 degrees
Space group P4/mmm (No. 123)
Unique sites:
Ba 0.0000 0.0000 0.0000 x1
Mg 0.0000 0.0000 0.5000 x1
Mg 0.0000 0.5000 0.3041 x4
Mg 0.5000 0.5000 0.5000 x1
In 0.5000 0.5000 0.1415 x2

***

Entry 5:
Diffraction record for CsBe2CdH8. The powder diffraction line list is theoretical, not measured: it uses a crystal structure in Alexandria, relaxed with PBE and Cu Kα, 1.54184 Å.
Kinematic intensities with the Lorentz-polarization factor, no thermal factor.

Largest 8 diffraction maxima, sorted by position, 2θ from 10° to 90°:
| h k l | 2θ (°) | intensity |
| --- | --- | --- |
| 1 1 0 | 21.9 | 1000 |
| 0 0 2 | 22.0 | 520 |
| 1 1 -2 | 27.3 | 745 |
| 2 0 0 | 29.4 | 315 |
| 2 0 -2 | 30.1 | 234 |
| 0 2 0 | 32.8 | 231 |
| 1 1 2 | 34.8 | 378 |
| 0 2 2 | 39.9 | 234 |

Structure:
Cell lengths 6.4828, 5.4545, 8.5937 Å; angles 90.00, 110.24, 90.00 degrees
Space group C2/m (No. 12)
Unique sites:
Cs 0.0000 0.0000 0.0000 x2
Be 0.0539 0.5000 0.3090 x4
Cd 0.0000 0.0000 0.5000 x2
H 0.0526 0.2644 0.6791 x8
H 0.0762 0.5000 0.1522 x4
H 0.2096 0.5000 0.4811 x4